Starting from a DFT-relaxed cell (GGA-PBE, the Materials Project), the powder diffraction line list of LaUS2 was computed for Cu Kα.
Neutral-atom scattering factors, no anomalous dispersion.

Structure:
abc: 7.1314 7.1314 7.1314
angles: 32.30 32.30 32.30
Element x y z (fractional)
1 La 0.0000 0.0000 0.0000
2 U 0.5000 0.5000 0.5000
3 S 0.2440 0.2440 0.2440
4 S 0.7560 0.7560 0.7560

Most intense lines, 10° ≤ 2θ ≤ 80°, by angle:
d_spacing  I (rel.)
6.754  124
3.379  307
3.254  665
2.843  1000
2.039  379
1.984  354
1.710  239
1.627  188
1.286  171
1.258  164